For NaEuW2O6, a structure optimized by DFT (GGA+U) gives the theoretical X-ray diffraction stick pattern in this record (Cu Kα, 1.54184 Å).
Intensities are scaled so that the largest is 100.

Most intense lines, 10 to 90 degrees two-theta, low angle first:
Position (°2θ)  intensity
19.05  14
22.03  23
31.36  100
44.94  29
50.59  10
55.82  40
65.44  18
74.36  18

Cell and atoms:
Cell: 5.7050 5.7050 5.7050 Å, 60.00 60.00 60.00°
Positions (direct):
1 Na 0.0000 0.0000 0.0000
2 Eu 0.5000 0.5000 0.5000
3 W 0.2500 0.2500 0.2500
4 W 0.7500 0.7500 0.7500
5 O 0.0000 0.0000 0.5000
6 O 0.0000 0.5000 0.0000
7 O 0.0000 0.5000 0.5000
8 O 0.5000 0.0000 0.0000
9 O 0.5000 0.0000 0.5000
10 O 0.5000 0.5000 0.0000